This entry pairs a crystal structure of NdSmNi4O12 with its simulated PXRD pattern. Radiation: a wavelength of 1.5418 Å. Structure: the PBE+U geometry in the Materials Project.
No peak broadening, texture or thermal motion is included.

Peak list (6 most intense, 15 to 90 degrees two-theta, by intensity)
hkl 2 0 0, 2θ = 33.6°, I = 100
hkl 1 0 1, 2θ = 20.4°, I = 85
hkl 2 1 1, 2θ = 39.6°, I = 46
hkl 3 1 2, 2θ = 60.1°, I = 38
hkl 2 2 0, 2θ = 48.3°, I = 27
hkl 4 0 0, 2θ = 70.7°, I = 23

Atomic structure:
a b c (Å): 5.329 5.329 7.554
angles (deg): 90.00 90.00 90.00
Space group P4/mmm (No. 123)
Inequivalent atoms, fractional coordinates:
Nd: 0.000 0.000 0.000 (multiplicity 1)
Sm: 0.500 0.500 0.500 (multiplicity 1)
Ni: 0.000 0.500 0.250 (multiplicity 4)
O: 0.000 0.500 0.000 (multiplicity 2)
O: 0.000 0.500 0.500 (multiplicity 2)
O: 0.251 0.251 0.250 (multiplicity 8)

***

This entry pairs a crystal structure of SrNdNi4O12 with its simulated PXRD pattern. Radiation: a wavelength of 1.5418 Å. Structure: the PBE+U geometry in the Materials Project.
No peak broadening, texture or thermal motion is included.

Peak list (6 most intense, 15 to 90 degrees two-theta, by intensity)
hkl 2 0 0, 2θ = 33.1°, I = 100
hkl 1 0 1, 2θ = 20.1°, I = 70
hkl 2 0 4, 2θ = 59.2°, I = 38
hkl 2 1 1, 2θ = 39.1°, I = 37
hkl 2 2 0, 2θ = 47.6°, I = 29
hkl 4 0 0, 2θ = 69.6°, I = 24

Atomic structure:
a b c (Å): 5.401 5.401 7.656
angles (deg): 90.00 90.00 90.00
Space group P4/mmm (No. 123)
Inequivalent atoms, fractional coordinates:
Sr: 0.000 0.000 0.000 (multiplicity 1)
Nd: 0.500 0.500 0.500 (multiplicity 1)
Ni: 0.000 0.500 0.249 (multiplicity 4)
O: 0.000 0.500 0.000 (multiplicity 2)
O: 0.000 0.500 0.500 (multiplicity 2)
O: 0.260 0.260 0.262 (multiplicity 8)

***

This entry pairs a crystal structure of SrNd3Ni2O8 with its simulated PXRD pattern. Radiation: a wavelength of 1.5418 Å. Structure: the PBE+U geometry in the Materials Project.
No peak broadening, texture or thermal motion is included.

Peak list (6 most intense, 15 to 90 degrees two-theta, by intensity)
hkl 1 1 3, 2θ = 31.8°, I = 100
hkl 2 0 0, 2θ = 33.2°, I = 36
hkl 2 2 0, 2θ = 47.8°, I = 36
hkl 0 2 0, 2θ = 33.4°, I = 35
hkl 0 0 6, 2θ = 43.2°, I = 31
hkl 1 1 1, 2θ = 24.4°, I = 23

Atomic structure:
a b c (Å): 5.396 5.366 12.549
angles (deg): 90.00 90.00 90.00
Space group Amm2 (No. 38)
Inequivalent atoms, fractional coordinates:
Sr: 0.000 0.000 0.000 (multiplicity 2)
Nd: 0.000 0.000 0.720 (multiplicity 2)
Nd: 0.500 0.000 0.218 (multiplicity 2)
Nd: 0.500 0.000 0.494 (multiplicity 2)
Ni: 0.000 0.000 0.360 (multiplicity 2)
Ni: 0.500 0.000 0.860 (multiplicity 2)
O: 0.000 0.000 0.193 (multiplicity 2)
O: 0.000 0.000 0.533 (multiplicity 2)
O: 0.260 0.249 0.852 (multiplicity 8)
O: 0.500 0.000 0.033 (multiplicity 2)
O: 0.500 0.000 0.678 (multiplicity 2)

***

This entry pairs a crystal structure of SrNdVO4 with its simulated PXRD pattern. Radiation: a wavelength of 1.5418 Å. Structure: the PBE+U geometry in the Materials Project.
No peak broadening, texture or thermal motion is included.

Peak list (6 most intense, 15 to 90 degrees two-theta, by intensity)
hkl 1 0 3, 2θ = 31.2°, I = 100
hkl 1 1 0, 2θ = 32.4°, I = 69
hkl 2 1 3, 2θ = 57.0°, I = 37
hkl 2 0 0, 2θ = 46.4°, I = 37
hkl 1 1 4, 2θ = 43.5°, I = 31
hkl 1 0 1, 2θ = 23.8°, I = 28

Atomic structure:
a b c (Å): 3.910 3.910 12.628
angles (deg): 90.00 90.00 90.00
Space group I4mm (No. 107)
Inequivalent atoms, fractional coordinates:
Sr: 0.000 0.000 0.000 (multiplicity 2)
Nd: 0.000 0.000 0.712 (multiplicity 2)
V: 0.000 0.000 0.357 (multiplicity 2)
O: 0.000 0.000 0.188 (multiplicity 2)
O: 0.000 0.000 0.530 (multiplicity 2)
O: 0.000 0.500 0.345 (multiplicity 4)

***

Repeat the second record exactly.
This entry pairs a crystal structure of SrNdNi4O12 with its simulated PXRD pattern. Radiation: a wavelength of 1.5418 Å. Structure: the PBE+U geometry in the Materials Project.
No peak broadening, texture or thermal motion is included.

Peak list (6 most intense, 15 to 90 degrees two-theta, by intensity)
hkl 2 0 0, 2θ = 33.1°, I = 100
hkl 1 0 1, 2θ = 20.1°, I = 70
hkl 2 0 4, 2θ = 59.2°, I = 38
hkl 2 1 1, 2θ = 39.1°, I = 37
hkl 2 2 0, 2θ = 47.6°, I = 29
hkl 4 0 0, 2θ = 69.6°, I = 24

Atomic structure:
a b c (Å): 5.401 5.401 7.656
angles (deg): 90.00 90.00 90.00
Space group P4/mmm (No. 123)
Inequivalent atoms, fractional coordinates:
Sr: 0.000 0.000 0.000 (multiplicity 1)
Nd: 0.500 0.500 0.500 (multiplicity 1)
Ni: 0.000 0.500 0.249 (multiplicity 4)
O: 0.000 0.500 0.000 (multiplicity 2)
O: 0.000 0.500 0.500 (multiplicity 2)
O: 0.260 0.260 0.262 (multiplicity 8)